Simulated powder diffractogram
Compound: Li2VPb2O6
Radiation: copper Kα
Structure: a structure optimized by DFT (GGA+U)
Neutral-atom scattering factors, no anomalous dispersion.

Top 8 peaks for 2θ = 10–90°, sorted by position:
hkl 0 0 3, 18.0 deg, I 32
hkl 1 0 1, 18.6 deg, I 49
hkl 0 1 2, 21.3 deg, I 82
hkl 1 1 0, 30.7 deg, I 100
hkl 0 1 5, 35.2 deg, I 72
hkl 1 1 3, 35.8 deg, I 41
hkl 2 0 2, 37.7 deg, I 46
hkl 1 2 5, 57.5 deg, I 42

Structural model:
```
data_Li2VPb2O6
_chemical_formula_sum 'Li6 V3 Pb6 O18'
_cell_length_a 5.8267
_cell_length_b 5.8267
_cell_length_c 14.7733
_cell_angle_alpha 90.00
_cell_angle_beta 90.00
_cell_angle_gamma 120.00
_space_group_name_H-M_alt 'R -3 m'
_space_group_IT_number 166
_space_group_name_Hall '-R 3 2"'
loop_
_atom_site_label
_atom_site_type_symbol
_atom_site_fract_x
_atom_site_fract_y
_atom_site_fract_z
_atom_site_occupancy
Li1 Li 0.0000 0.0000 0.0882 1
V1 V 0.0000 0.0000 0.5000 1
Pb1 Pb 0.0000 0.0000 0.2923 1
O1 O 0.0355 0.5178 0.2461 1
```